[1]
For YMg14BO16, DFT lattice parameters and positions (PBE) gives the calculated powder X-ray diffraction pattern in this record (a wavelength of 1.5418 Å).

Crystal structure
abc: 4.317 8.656 8.745
angles: 90.00 90.00 90.00
Fractional coordinates of all 32 atoms:
1 Y 0.000 0.000 0.000
2 Mg 0.000 0.253 0.263
3 Mg 0.000 0.253 0.737
4 Mg 0.000 0.500 0.000
5 Mg 0.000 0.500 0.500
6 Mg 0.000 0.747 0.263
7 Mg 0.000 0.747 0.737
8 Mg 0.500 0.000 0.270
9 Mg 0.500 0.000 0.730
10 Mg 0.500 0.248 0.500
11 Mg 0.500 0.262 0.000
12 Mg 0.500 0.500 0.254
13 Mg 0.500 0.500 0.746
14 Mg 0.500 0.738 0.000
15 Mg 0.500 0.752 0.500
16 B 0.000 0.000 0.500
17 O 0.000 0.000 0.249
18 O 0.000 0.000 0.751
19 O 0.000 0.260 0.000
20 O 0.000 0.269 0.500
21 O 0.000 0.500 0.247
22 O 0.000 0.500 0.753
23 O 0.000 0.731 0.500
24 O 0.000 0.740 0.000
25 O 0.500 0.000 0.000
26 O 0.500 0.000 0.500
27 O 0.500 0.248 0.249
28 O 0.500 0.248 0.751
29 O 0.500 0.500 0.000
30 O 0.500 0.500 0.500
31 O 0.500 0.752 0.249
32 O 0.500 0.752 0.751

Most intense lines, 10° ≤ 2θ ≤ 90°, by angle:
index  2θ/deg  I (rel.)
0 1 1  14.40  28
0 2 1  22.96  27
1 1 1  25.20  24
1 2 2  35.85  40
0 0 4  41.30  90
0 4 0  41.74  88
2 0 0  41.85  89
2 0 4  60.21  100
2 4 0  60.59  50
2 4 4  75.97  45



[2]
For HoCd2, DFT lattice parameters and positions (PBE) gives the calculated powder X-ray diffraction pattern in this record (a wavelength of 1.5418 Å).

Crystal structure
abc: 4.969 4.969 3.439
angles: 90.00 90.00 120.00
Fractional coordinates of all 3 atoms:
1 Ho 0.000 0.000 0.000
2 Cd 0.333 0.667 0.500
3 Cd 0.667 0.333 0.500

Most intense lines, 10° ≤ 2θ ≤ 90°, by angle:
index  2θ/deg  I (rel.)
1 0 1  33.35  100
1 1 0  36.16  80
2 0 1  50.00  32
0 0 2  53.27  9
2 1 1  63.25  31
3 0 0  65.02  14
1 1 2  66.08  27
2 2 0  76.72  9
3 1 1  86.27  13
3 0 2  88.84  12



[3]
For CdSeO3, DFT lattice parameters and positions (PBE) gives the calculated powder X-ray diffraction pattern in this record (a wavelength of 1.5418 Å).

Crystal structure
abc: 5.840 13.150 8.832
angles: 90.00 101.09 90.00
Fractional coordinates of all 40 atoms:
1 Cd 0.122 0.244 0.149
2 Cd 0.122 0.256 0.649
3 Cd 0.318 0.577 0.113
4 Cd 0.318 0.923 0.613
5 Cd 0.682 0.077 0.387
6 Cd 0.682 0.423 0.887
7 Cd 0.878 0.744 0.351
8 Cd 0.878 0.756 0.851
9 Se 0.087 0.525 0.736
10 Se 0.087 0.975 0.236
11 Se 0.471 0.670 0.519
12 Se 0.471 0.830 0.019
13 Se 0.529 0.170 0.981
14 Se 0.529 0.330 0.481
15 Se 0.913 0.025 0.764
16 Se 0.913 0.475 0.264
17 O 0.038 0.595 0.272
18 O 0.038 0.905 0.772
19 O 0.097 0.079 0.654
20 O 0.097 0.421 0.154
21 O 0.256 0.737 0.997
22 O 0.256 0.763 0.497
23 O 0.276 0.238 0.914
24 O 0.276 0.262 0.414
25 O 0.343 0.520 0.870
26 O 0.343 0.980 0.370
27 O 0.466 0.150 0.163
28 O 0.466 0.350 0.663
29 O 0.534 0.650 0.337
30 O 0.534 0.850 0.837
31 O 0.657 0.020 0.630
32 O 0.657 0.480 0.130
33 O 0.724 0.738 0.586
34 O 0.724 0.762 0.086
35 O 0.744 0.237 0.503
36 O 0.744 0.263 0.003
37 O 0.903 0.579 0.846
38 O 0.903 0.921 0.346
39 O 0.962 0.095 0.228
40 O 0.962 0.405 0.728

Most intense lines, 10° ≤ 2θ ≤ 90°, by angle:
index  2θ/deg  I (rel.)
1 2 -1  21.61  37
0 3 1  22.73  32
1 1 -2  24.21  57
1 3 0  25.58  77
1 0 2  28.10  100
0 3 2  28.97  53
1 4 0  31.37  34
2 1 -1  31.69  45
1 1 -3  32.63  32
1 2 -4  43.96  35



Please write out number 3 again, unchanged.
For CdSeO3, DFT lattice parameters and positions (PBE) gives the calculated powder X-ray diffraction pattern in this record (a wavelength of 1.5418 Å).

Crystal structure
abc: 5.840 13.150 8.832
angles: 90.00 101.09 90.00
Fractional coordinates of all 40 atoms:
1 Cd 0.122 0.244 0.149
2 Cd 0.122 0.256 0.649
3 Cd 0.318 0.577 0.113
4 Cd 0.318 0.923 0.613
5 Cd 0.682 0.077 0.387
6 Cd 0.682 0.423 0.887
7 Cd 0.878 0.744 0.351
8 Cd 0.878 0.756 0.851
9 Se 0.087 0.525 0.736
10 Se 0.087 0.975 0.236
11 Se 0.471 0.670 0.519
12 Se 0.471 0.830 0.019
13 Se 0.529 0.170 0.981
14 Se 0.529 0.330 0.481
15 Se 0.913 0.025 0.764
16 Se 0.913 0.475 0.264
17 O 0.038 0.595 0.272
18 O 0.038 0.905 0.772
19 O 0.097 0.079 0.654
20 O 0.097 0.421 0.154
21 O 0.256 0.737 0.997
22 O 0.256 0.763 0.497
23 O 0.276 0.238 0.914
24 O 0.276 0.262 0.414
25 O 0.343 0.520 0.870
26 O 0.343 0.980 0.370
27 O 0.466 0.150 0.163
28 O 0.466 0.350 0.663
29 O 0.534 0.650 0.337
30 O 0.534 0.850 0.837
31 O 0.657 0.020 0.630
32 O 0.657 0.480 0.130
33 O 0.724 0.738 0.586
34 O 0.724 0.762 0.086
35 O 0.744 0.237 0.503
36 O 0.744 0.263 0.003
37 O 0.903 0.579 0.846
38 O 0.903 0.921 0.346
39 O 0.962 0.095 0.228
40 O 0.962 0.405 0.728

Most intense lines, 10° ≤ 2θ ≤ 90°, by angle:
index  2θ/deg  I (rel.)
1 2 -1  21.61  37
0 3 1  22.73  32
1 1 -2  24.21  57
1 3 0  25.58  77
1 0 2  28.10  100
0 3 2  28.97  53
1 4 0  31.37  34
2 1 -1  31.69  45
1 1 -3  32.63  32
1 2 -4  43.96  35



- Which formula does entry 2 have?
  HoCd2